[1]
Theoretical X-ray powder pattern
Compound: KMgSn2
Radiation: a wavelength of 1.5418 Å
Structure: a crystal structure in Alexandria, relaxed with PBE
Intensities are scaled so that the largest is 100.

Structural model:
```
KMgSn2
1.0
6.544 0.000 0.000
0.000 5.046 0.000
-2.257 0.000 8.031
K Mg Sn
2 2 4
Direct
0.221 0.250 0.413 K
0.779 0.750 0.587 K
0.324 0.250 0.923 Mg
0.676 0.750 0.077 Mg
0.175 0.750 0.065 Sn
0.336 0.750 0.749 Sn
0.664 0.250 0.251 Sn
0.825 0.250 0.935 Sn
```

Largest 12 diffraction maxima, in order of rising 2θ, 2θ = 10–80°:
d_spacing, 2theta, I_rel
8.031, 11.0, 100
4.272, 20.8, 35
3.938, 22.6, 89
3.321, 26.8, 96
3.145, 28.4, 92
2.746, 32.6, 48
2.695, 33.2, 35
2.523, 35.6, 63
2.505, 35.8, 100
2.365, 38.1, 54
1.858, 49.0, 31
1.453, 64.1, 35

---

[2]
Theoretical X-ray powder pattern
Compound: LaPr8Ho5
Radiation: a wavelength of 1.5418 Å
Structure: a crystal structure in Alexandria, relaxed with PBE
Intensities are scaled so that the largest is 100.

Structural model:
```
LaPr8Ho5
1.0
8.654 0.000 0.000
-3.893 7.742 0.000
-1.348 -4.479 7.363
La Pr Ho
1 8 5
Direct
0.000 0.000 0.000 La
0.332 0.037 0.711 Pr
0.368 0.276 0.373 Pr
0.516 0.721 0.783 Pr
0.540 0.942 0.412 Pr
0.651 0.219 0.170 Pr
0.804 0.737 0.535 Pr
0.920 0.290 0.921 Pr
0.949 0.740 0.216 Pr
0.065 0.235 0.586 Ho
0.141 0.527 0.391 Ho
0.208 0.738 0.945 Ho
0.420 0.481 0.060 Ho
0.726 0.458 0.742 Ho
```

Largest 12 diffraction maxima, in order of rising 2θ, 2θ = 10–80°:
d_spacing, 2theta, I_rel
3.091, 28.9, 32
3.072, 29.1, 39
2.887, 31.0, 95
2.865, 31.2, 95
2.842, 31.5, 100
2.825, 31.7, 69
2.780, 32.2, 40
2.768, 32.3, 44
2.674, 33.5, 49
2.649, 33.8, 43
1.857, 49.1, 26
1.702, 53.9, 30

---

[3]
Theoretical X-ray powder pattern
Compound: Na3AgHg2
Radiation: a wavelength of 1.5418 Å
Structure: a crystal structure in Alexandria, relaxed with PBE
Intensities are scaled so that the largest is 100.

Structural model:
```
Na3AgHg2
1.0
7.897 -3.090 0.000
7.897 3.090 0.000
-0.969 0.000 6.343
Na Ag Hg
6 2 4
Direct
0.107 0.253 0.658 Na
0.241 0.759 0.750 Na
0.253 0.107 0.158 Na
0.747 0.893 0.842 Na
0.759 0.241 0.250 Na
0.893 0.747 0.342 Na
0.249 0.751 0.250 Ag
0.751 0.249 0.750 Ag
0.298 0.412 0.987 Hg
0.412 0.298 0.487 Hg
0.588 0.702 0.513 Hg
0.702 0.588 0.013 Hg
```

Largest 12 diffraction maxima, in order of rising 2θ, 2θ = 10–80°:
d_spacing, 2theta, I_rel
5.747, 15.4, 100
4.382, 20.3, 46
3.981, 22.3, 93
2.845, 31.4, 27
2.794, 32.0, 25
2.669, 33.6, 89
2.633, 34.0, 37
2.602, 34.5, 36
2.423, 37.1, 47
2.352, 38.3, 40
2.213, 40.8, 39
2.098, 43.1, 26

---

[4]
Theoretical X-ray powder pattern
Compound: AgH3Rh
Radiation: a wavelength of 1.5418 Å
Structure: a crystal structure in Alexandria, relaxed with PBE
Intensities are scaled so that the largest is 100.

Structural model:
```
AgH3Rh
1.0
2.885 0.000 0.000
0.000 6.626 0.000
-1.170 0.000 4.588
Ag H Rh
2 6 2
Direct
0.000 0.000 0.000 Ag
0.355 0.500 0.932 Ag
0.078 0.270 0.261 H
0.078 0.730 0.261 H
0.261 0.221 0.713 H
0.261 0.779 0.713 H
0.633 0.000 0.384 H
0.648 0.500 0.389 H
0.668 0.250 0.485 Rh
0.668 0.750 0.485 Rh
```

Largest 12 diffraction maxima, in order of rising 2θ, 2θ = 10–80°:
d_spacing, 2theta, I_rel
2.702, 33.2, 19
2.686, 33.4, 100
2.575, 34.8, 20
2.502, 35.9, 21
2.294, 39.3, 29
2.161, 41.8, 18
2.136, 42.3, 26
1.947, 46.6, 10
1.734, 52.8, 13
1.657, 55.5, 12
1.434, 65.0, 11
1.343, 70.1, 10

---

[5]
Theoretical X-ray powder pattern
Compound: NaNb2Rh2
Radiation: a wavelength of 1.5418 Å
Structure: a crystal structure in Alexandria, relaxed with PBE
Intensities are scaled so that the largest is 100.

Structural model:
```
NaNb2Rh2
1.0
7.984 0.000 0.000
0.000 7.984 0.000
0.000 0.000 2.816
Na Nb Rh
2 4 4
Direct
0.000 0.000 0.000 Na
0.500 0.500 0.000 Na
0.144 0.356 0.000 Nb
0.356 0.856 0.000 Nb
0.644 0.144 0.000 Nb
0.856 0.644 0.000 Nb
0.149 0.649 0.500 Rh
0.351 0.149 0.500 Rh
0.649 0.851 0.500 Rh
0.851 0.351 0.500 Rh
```

Largest 12 diffraction maxima, in order of rising 2θ, 2θ = 10–80°:
d_spacing, 2theta, I_rel
5.646, 15.7, 45
3.992, 22.3, 9
2.525, 35.6, 49
2.211, 40.8, 100
1.996, 45.4, 20
1.882, 48.4, 17
1.741, 52.6, 10
1.596, 57.8, 10
1.411, 66.2, 6
1.408, 66.4, 5
1.312, 72.0, 28
1.230, 77.6, 9

---

[6]
Theoretical X-ray powder pattern
Compound: Tb3Pm2Hg2
Radiation: a wavelength of 1.5418 Å
Structure: a crystal structure in Alexandria, relaxed with PBE
Intensities are scaled so that the largest is 100.

Structural model:
```
Tb3Pm2Hg2
1.0
1.813 -16.026 0.000
1.813 16.026 0.000
0.000 0.000 3.611
Tb Pm Hg
3 2 2
Direct
0.000 0.000 0.000 Tb
0.123 0.877 0.000 Tb
0.877 0.123 0.000 Tb
0.298 0.702 0.500 Pm
0.702 0.298 0.500 Pm
0.439 0.561 0.500 Hg
0.561 0.439 0.500 Hg
```

Largest 12 diffraction maxima, in order of rising 2θ, 2θ = 10–80°:
d_spacing, 2theta, I_rel
2.991, 29.9, 12
2.843, 31.5, 89
2.682, 33.4, 95
2.550, 35.2, 100
2.541, 35.3, 31
2.003, 45.3, 14
1.813, 50.3, 18
1.805, 50.6, 17
1.640, 56.1, 34
1.524, 60.8, 28
1.502, 61.8, 36
1.472, 63.2, 12

---

[7]
Theoretical X-ray powder pattern
Compound: CeUNbN3
Radiation: a wavelength of 1.5418 Å
Structure: a crystal structure in Alexandria, relaxed with PBE
Intensities are scaled so that the largest is 100.

Structural model:
```
CeUNbN3
1.0
7.274 0.000 0.000
0.000 3.269 0.000
-0.439 0.000 8.107
Ce U Nb N
2 2 2 6
Direct
0.137 0.250 0.173 Ce
0.863 0.750 0.827 Ce
0.371 0.750 0.840 U
0.629 0.250 0.160 U
0.132 0.250 0.569 Nb
0.868 0.750 0.431 Nb
0.145 0.250 0.852 N
0.165 0.750 0.396 N
0.405 0.750 0.105 N
0.595 0.250 0.895 N
0.835 0.250 0.604 N
0.855 0.750 0.148 N
```

Largest 12 diffraction maxima, in order of rising 2θ, 2θ = 10–80°:
d_spacing, 2theta, I_rel
8.107, 10.9, 44
5.561, 15.9, 57
3.383, 26.3, 36
3.249, 27.4, 32
3.032, 29.5, 48
2.780, 32.2, 62
2.702, 33.2, 48
2.635, 34.0, 32
2.545, 35.3, 72
2.430, 37.0, 100
1.840, 49.5, 34
1.775, 51.5, 27

---

[8]
Theoretical X-ray powder pattern
Compound: CaCdRhF6
Radiation: a wavelength of 1.5418 Å
Structure: a crystal structure in Alexandria, relaxed with PBE
Intensities are scaled so that the largest is 100.

Structural model:
```
CaCdRhF6
1.0
5.661 0.000 0.000
-2.831 4.903 0.000
0.000 0.000 9.827
Ca Cd Rh F
2 2 2 12
Direct
0.333 0.667 0.250 Ca
0.667 0.333 0.750 Ca
0.000 0.000 0.000 Cd
0.000 0.000 0.500 Cd
0.333 0.667 0.750 Rh
0.667 0.333 0.250 Rh
0.016 0.344 0.629 F
0.016 0.672 0.871 F
0.328 0.344 0.871 F
0.328 0.984 0.629 F
0.344 0.016 0.129 F
0.344 0.328 0.371 F
0.656 0.672 0.629 F
0.656 0.984 0.871 F
0.672 0.016 0.371 F
0.672 0.656 0.129 F
0.984 0.328 0.129 F
0.984 0.656 0.371 F
```

Largest 12 diffraction maxima, in order of rising 2θ, 2θ = 10–80°:
d_spacing, 2theta, I_rel
4.387, 20.2, 17
3.471, 25.7, 100
2.831, 31.6, 33
2.454, 36.6, 17
2.194, 41.1, 29
1.855, 49.1, 47
1.734, 52.8, 26
1.634, 56.3, 20
1.361, 69.0, 10
1.311, 72.1, 10
1.227, 77.8, 10
1.226, 77.9, 10